# 1
Na2GaHg8: calculated powder X-ray diffraction pattern (λ = 1.5418 Å (Cu Kα)), based on a crystal structure in Alexandria, relaxed with PBE.

Principal peaks in the range 5° ≤ 2θ ≤ 70°, in order of falling intensity:
d_spacing, 2theta, I/Imax
2.610, 34.4, 100
2.778, 32.2, 82
2.585, 34.7, 57
2.372, 37.9, 50
3.764, 23.6, 22
2.746, 32.6, 22
1.497, 62.0, 19
4.070, 21.8, 18

Structural model:
abc: 8.902 8.902 6.670
angles: 104.09 104.09 33.76
Atoms (fractional coordinates):
Na 0.204 0.204 0.164
Na 0.796 0.796 0.836
Ga 0.500 0.500 0.500
Hg 0.010 0.010 0.239
Hg 0.170 0.170 0.659
Hg 0.351 0.351 0.625
Hg 0.387 0.387 0.095
Hg 0.613 0.613 0.905
Hg 0.649 0.649 0.375
Hg 0.830 0.830 0.341
Hg 0.990 0.990 0.761

=====

# 2
Sm8AsS6: calculated powder X-ray diffraction pattern (λ = 1.5418 Å (Cu Kα)), based on a crystal structure in Alexandria, relaxed with PBE.

Principal peaks in the range 5° ≤ 2θ ≤ 70°, in order of falling intensity:
d_spacing, 2theta, I/Imax
2.957, 30.2, 100
3.199, 27.9, 89
2.171, 41.6, 44
2.595, 34.6, 43
3.009, 29.7, 42
1.823, 50.0, 30
1.684, 54.5, 28
1.750, 52.3, 23

Structural model:
abc: 10.243 10.243 4.097
angles: 90.00 90.00 120.00
Atoms (fractional coordinates):
Sm 0.032 0.327 0.242
Sm 0.295 0.968 0.242
Sm 0.327 0.295 0.758
Sm 0.333 0.667 0.752
Sm 0.667 0.333 0.248
Sm 0.673 0.705 0.242
Sm 0.705 0.032 0.758
Sm 0.968 0.673 0.758
As 0.000 0.000 0.000
S 0.133 0.652 0.253
S 0.348 0.481 0.253
S 0.481 0.133 0.747
S 0.519 0.867 0.253
S 0.652 0.519 0.747
S 0.867 0.348 0.747

=====

> Which formula does entry 2 have?

Sm8AsS6

=====

> What is the formula in the first record?

Na2GaHg8